Simulated X-ray powder pattern of NaSr7Cu8S8F8 for CuKα, from the GGA-PBE geometry in the Materials Project.

Principal peaks in the range 2θ from 10° to 90°, by angle:
| d/Å | I_rel | index |
| --- | --- | --- |
| 8.747 | 23 | 0 0 1 |
| 3.605 | 26 | 2 0 1 |
| 2.934 | 96 | 2 0 2 |
| 2.916 | 21 | 0 0 3 |
| 2.665 | 38 | 2 2 1 |
| 2.357 | 100 | 2 2 2 |
| 1.978 | 59 | 4 0 0 |
| 1.914 | 22 | 2 0 4 |
| 1.723 | 43 | 2 2 4 |
| 1.640 | 31 | 4 2 2 |
| 1.203 | 20 | 6 2 2 |
| 1.174 | 19 | 4 0 6 |

Cell and atoms:
Lattice parameters (Å, degrees): 7.912 7.912 8.747 90.00 90.00 90.00
Space group P4mm (No. 99)
Inequivalent atoms, fractional coordinates:
Na (0.000, 0.000, 0.000) x1
Sr (0.000, 0.500, 0.030) x2
Sr (0.248, 0.248, 0.698) x4
Sr (0.500, 0.500, 0.033) x1
Cu (0.000, 0.248, 0.359) x4
Cu (0.252, 0.500, 0.363) x4
S (0.000, 0.000, 0.519) x1
S (0.000, 0.500, 0.521) x2
S (0.252, 0.252, 0.207) x4
S (0.500, 0.500, 0.526) x1
F (0.000, 0.253, 0.862) x4
F (0.251, 0.500, 0.863) x4


Simulated X-ray powder pattern of K2TeI2O12 for CuKα, from the GGA-PBE geometry in the Materials Project.

Principal peaks in the range 2θ from 10° to 90°, by angle:
| d/Å | I_rel | index |
| --- | --- | --- |
| 5.551 | 49 | 1 0 1 |
| 4.286 | 17 | 0 0 6 |
| 3.814 | 100 | 0 1 5 |
| 3.282 | 49 | 1 1 0 |
| 2.606 | 32 | 2 -1 6 |
| 2.488 | 22 | 2 0 5 |
| 2.343 | 10 | 1 0 10 |
| 1.983 | 21 | 3 -2 5 |
| 1.895 | 19 | 3 0 0 |
| 1.794 | 16 | 2 -1 12 |
| 1.582 | 9 | 3 -2 11 |
| 1.507 | 12 | 3 1 5 |

Cell and atoms:
Lattice parameters (Å, degrees): 6.5642 6.5642 25.7135 90.00 90.00 120.00
Space group R-3 (No. 148, hexagonal axes)
Inequivalent atoms, fractional coordinates:
K (0.0000, 0.0000, 0.0949) x6
Te (0.0000, 0.0000, 0.5000) x3
I (0.0000, 0.0000, 0.3203) x6
O (0.0053, 0.2544, 0.7110) x18
O (0.0209, 0.7528, 0.4637) x18


Simulated X-ray powder pattern of Ag3SbS3 for CuKα, from the GGA-PBE geometry in the Materials Project.

Principal peaks in the range 2θ from 10° to 90°, by angle:
| d/Å | I_rel | index |
| --- | --- | --- |
| 3.380 | 31 | 2 0 2 |
| 3.360 | 79 | 2 1 1 |
| 3.161 | 64 | 3 0 0 |
| 2.876 | 100 | 1 2 2 |
| 2.771 | 89 | 1 1 3 |
| 2.537 | 35 | 1 3 1 |
| 2.122 | 24 | 3 2 1 |
| 2.000 | 24 | 2 1 4 |
| 1.983 | 37 | 2 3 2 |
| 1.777 | 28 | 1 3 4 |
| 1.679 | 32 | 4 2 2 |
| 1.606 | 23 | 0 0 6 |

Cell and atoms:
Lattice parameters (Å, degrees): 10.9506 10.9506 9.6386 90.00 90.00 120.00
Space group R3c (No. 161, hexagonal axes)
Inequivalent atoms, fractional coordinates:
Ag (0.0806, 0.3757, 0.0000) x18
Sb (0.0000, 0.0000, 0.0363) x6
S (0.1056, 0.5495, 0.3333) x18


Simulated X-ray powder pattern of MgSnO3 for CuKα, from the GGA-PBE geometry in the Materials Project.

Principal peaks in the range 2θ from 10° to 90°, by angle:
| d/Å | I_rel | index |
| --- | --- | --- |
| 3.920 | 28 | 0 2 0 |
| 3.814 | 52 | 1 0 1 |
| 2.732 | 100 | 1 2 1 |
| 2.666 | 17 | 0 0 2 |
| 1.960 | 11 | 0 4 0 |
| 1.907 | 19 | 2 0 2 |
| 1.743 | 14 | 1 4 1 |
| 1.715 | 14 | 2 2 2 |
| 1.592 | 11 | 2 4 0 |
| 1.576 | 19 | 3 2 1 |
| 1.552 | 22 | 1 2 3 |
| 1.367 | 11 | 2 4 2 |

Cell and atoms:
Lattice parameters (Å, degrees): 5.457 7.839 5.332 90.00 90.00 90.00
Space group Pnma (No. 62)
Inequivalent atoms, fractional coordinates:
Mg (0.044, 0.250, 0.001) x4
Sn (0.000, 0.000, 0.500) x4
O (0.087, 0.750, 0.636) x4
O (0.176, 0.572, 0.171) x8


Simulated X-ray powder pattern of CeMg3 for CuKα, from the GGA-PBE geometry in the Materials Project.

Principal peaks in the range 2θ from 10° to 90°, by angle:
| d/Å | I_rel | index |
| --- | --- | --- |
| 4.264 | 64 | 1 1 1 |
| 3.693 | 34 | 2 0 0 |
| 2.611 | 100 | 2 2 0 |
| 2.227 | 35 | 3 1 1 |
| 1.847 | 18 | 4 0 0 |
| 1.694 | 15 | 3 3 1 |
| 1.652 | 14 | 4 2 0 |
| 1.508 | 36 | 4 2 2 |
| 1.421 | 11 | 5 1 1 |
| 1.306 | 11 | 4 4 0 |
| 1.248 | 11 | 5 3 1 |
| 1.168 | 15 | 6 2 0 |

Cell and atoms:
Lattice parameters (Å, degrees): 7.386 7.386 7.386 90.00 90.00 90.00
Space group Fm-3m (No. 225)
Inequivalent atoms, fractional coordinates:
Ce (0.000, 0.000, 0.000) x4
Mg (0.000, 0.000, 0.500) x4
Mg (0.250, 0.250, 0.250) x8


Simulated X-ray powder pattern of HfNi2Sb for CuKα, from the GGA-PBE geometry in the Materials Project.

Principal peaks in the range 2θ from 10° to 90°, by angle:
| d/Å | I_rel | index |
| --- | --- | --- |
| 2.691 | 84 | 1 0 2 |
| 2.215 | 100 | 1 1 0 |
| 2.105 | 43 | 1 0 3 |
| 1.710 | 22 | 2 0 2 |
| 1.694 | 12 | 1 0 4 |
| 1.526 | 15 | 2 0 3 |
| 1.437 | 12 | 1 1 4 |
| 1.353 | 21 | 2 1 2 |
| 1.279 | 16 | 3 0 0 |
| 1.256 | 15 | 2 1 3 |
| 1.196 | 13 | 1 0 6 |
| 1.107 | 11 | 2 2 0 |

Cell and atoms:
Lattice parameters (Å, degrees): 4.4292 4.4292 7.5518 90.00 90.00 120.00
Space group P6_3/mmc (No. 194)
Inequivalent atoms, fractional coordinates:
Hf (0.0000, 0.0000, 0.0000) x2
Ni (0.3333, 0.6667, 0.0928) x4
Sb (0.3333, 0.6667, 0.7500) x2


Simulated X-ray powder pattern of Ni6SnSb for CuKα, from the GGA-PBE geometry in the Materials Project.

Principal peaks in the range 2θ from 10° to 90°, by angle:
| d/Å | I_rel | index |
| --- | --- | --- |
| 2.291 | 20 | 0 2 1 |
| 2.274 | 15 | 0 0 2 |
| 2.126 | 38 | 2 0 0 |
| 2.017 | 100 | 1 2 1 |
| 2.006 | 42 | 1 0 2 |
| 1.558 | 12 | 2 2 1 |
| 1.553 | 9 | 2 0 2 |
| 1.316 | 14 | 0 2 3 |
| 1.205 | 17 | 3 2 1 |
| 1.125 | 9 | 2 4 0 |
| 1.119 | 17 | 2 2 3 |
| 1.106 | 12 | 1 4 2 |

Cell and atoms:
Lattice parameters (Å, degrees): 4.253 5.303 4.549 90.00 90.00 90.00
Space group Pmm2 (No. 25)
Inequivalent atoms, fractional coordinates:
Ni (0.000, 0.000, 0.000) x1
Ni (0.000, 0.249, 0.481) x2
Ni (0.500, 0.246, 0.145) x2
Ni (0.500, 0.500, 0.623) x1
Sn (0.000, 0.500, 0.985) x1
Sb (0.500, 0.000, 0.642) x1